Structure and theoretical powder diffractogram of NaNdV4O12 (a crystal structure in Alexandria, relaxed with PBE+U; CuKα).
Peak positions follow from Bragg's law for the DFT cell and can differ from measured ones.

Structure:
Cell: 5.3167 5.3167 7.5384 Å, 90.00 90.00 90.00°
Space group P4/mmm (No. 123)
Symmetry-distinct sites (fractional):
Na  0.0000  0.0000  0.0000 [1 per cell]
Nd  0.5000  0.5000  0.5000 [1 per cell]
V  0.0000  0.5000  0.2448 [4 per cell]
O  0.0000  0.5000  0.0000 [2 per cell]
O  0.0000  0.5000  0.5000 [2 per cell]
O  0.2544  0.2544  0.2556 [8 per cell]

Largest 10 diffraction maxima, by angle, 10° ≤ 2θ ≤ 90°:
2θ 11.74, d 7.538, intensity 30, hkl 0 0 1; 2θ 16.67, d 5.317, intensity 31, hkl 1 0 0; 2θ 20.44, d 4.345, intensity 73, hkl 1 0 1; 2θ 26.49, d 3.364, intensity 22, hkl 1 1 1; 2θ 33.69, d 2.661, intensity 100, hkl 2 0 0; 2θ 39.72, d 2.269, intensity 39, hkl 2 1 1; 2θ 48.29, d 1.885, intensity 19, hkl 0 0 4; 2θ 48.42, d 1.880, intensity 38, hkl 2 2 0; 2θ 60.25, d 1.536, intensity 37, hkl 3 1 2; 2θ 70.80, d 1.331, intensity 20, hkl 2 2 4